# BaCaNi4O12
Calculated X-ray powder pattern, Cu Kα X-rays. Input: a structure optimized by DFT (PBE+U).

Atomic structure:
a = 5.485 Å, b = 5.485 Å, c = 7.694 Å
α = 90.00°, β = 90.00°, γ = 90.00°
Space group P4/mmm (No. 123)
One atom of each set of equivalent atoms:
Ba1 0.000 0.000 0.000
Ca1 0.500 0.500 0.500
Ni1 0.000 0.500 0.252
O1 0.000 0.500 0.000
O2 0.000 0.500 0.500
O3 0.262 0.262 0.267

Top 10 peaks for 10 to 90 degrees two-theta, by angle:
two_theta, I_rel
19.88, 810
22.93, 239
32.65, 512
32.79, 1000
38.52, 282
46.85, 500
47.26, 236
58.36, 384
58.62, 198
68.74, 263